# Zr3Si6N11
Theoretical X-ray powder pattern, copper Kα. Input: the GGA-PBE geometry in the Materials Project.
No peak broadening, texture or thermal motion is included.

Principal peaks in the range 2θ from 10° to 80°, most intense first:
- 2θ = 34.17°, d 2.624, intensity 1000, hkl 3 1 1
- 2θ = 31.59°, d 2.832, intensity 789, hkl 2 2 1
- 2θ = 18.28°, d 4.853, intensity 754, hkl 0 0 1
- 2θ = 27.32°, d 3.264, intensity 511, hkl 2 1 1
- 2θ = 37.59°, d 2.393, intensity 452, hkl 4 1 0
- 2θ = 53.81°, d 1.704, intensity 359, hkl 4 1 2
- 2θ = 12.69°, d 6.976, intensity 359, hkl 1 1 0
- 2θ = 37.74°, d 2.383, intensity 300, hkl 3 2 1

Structural model:
a = 9.8654 Å, b = 9.8654 Å, c = 4.8527 Å
α = 90.00°, β = 90.00°, γ = 90.00°
Space group P4bm (No. 100)
One atom of each set of equivalent atoms:
Zr (0.0000, 0.0000, 0.0000)
Zr (0.1869, 0.3131, 0.9821)
Si (0.0849, 0.7994, 0.5490)
Si (0.1200, 0.6200, 0.0599)
N (0.0000, 0.5000, 0.0855)
N (0.0721, 0.1814, 0.6942)
N (0.0836, 0.7818, 0.1946)
N (0.1617, 0.6617, 0.7177)

***

# Zr5Si3N
Theoretical X-ray powder pattern, copper Kα. Input: the GGA-PBE geometry in the Materials Project.
No peak broadening, texture or thermal motion is included.

Principal peaks in the range 2θ from 10° to 80°, most intense first:
- 2θ = 39.20°, d 2.298, intensity 1000, hkl 1 1 2
- 2θ = 38.07°, d 2.363, intensity 918, hkl 2 1 1
- 2θ = 34.42°, d 2.605, intensity 731, hkl 2 1 0
- 2θ = 60.83°, d 1.523, intensity 312, hkl 2 1 3
- 2θ = 27.45°, d 3.249, intensity 223, hkl 1 1 1
- 2θ = 56.66°, d 1.625, intensity 215, hkl 2 2 2
- 2θ = 77.02°, d 1.238, intensity 197, hkl 5 0 2
- 2θ = 63.29°, d 1.469, intensity 194, hkl 4 0 2

Structural model:
a = 7.9542 Å, b = 7.9542 Å, c = 5.6345 Å
α = 90.00°, β = 90.00°, γ = 120.00°
Space group P6_3/mcm (No. 193)
One atom of each set of equivalent atoms:
Zr (0.0000, 0.2341, 0.2500)
Zr (0.3333, 0.6667, 0.0000)
Si (0.0000, 0.4038, 0.7500)
N (0.0000, 0.0000, 0.0000)

***

# SmThN2
Theoretical X-ray powder pattern, copper Kα. Input: the GGA-PBE geometry in the Materials Project.
No peak broadening, texture or thermal motion is included.

Principal peaks in the range 2θ from 10° to 80°, most intense first:
- 2θ = 30.12°, d 2.967, intensity 1000, hkl 0 1 2
- 2θ = 34.97°, d 2.566, intensity 915, hkl 1 0 4
- 2θ = 59.71°, d 1.549, intensity 465, hkl 2 0 2
- 2θ = 30.29°, d 2.951, intensity 329, hkl 0 0 6
- 2θ = 50.18°, d 1.818, intensity 327, hkl 1 1 0
- 2θ = 50.39°, d 1.811, intensity 322, hkl 0 1 8
- 2θ = 62.62°, d 1.484, intensity 167, hkl 0 2 4
- 2θ = 59.93°, d 1.543, intensity 154, hkl 1 0 10

Structural model:
a = 3.6363 Å, b = 3.6363 Å, c = 17.7065 Å
α = 90.00°, β = 90.00°, γ = 120.00°
Space group R-3m (No. 166, hexagonal axes)
One atom of each set of equivalent atoms:
Sm (0.0000, 0.0000, 0.0000)
Th (0.0000, 0.0000, 0.5000)
N (0.0000, 0.0000, 0.2472)

***

# Sn3N
Theoretical X-ray powder pattern, copper Kα. Input: the GGA-PBE geometry in the Materials Project.
No peak broadening, texture or thermal motion is included.

Principal peaks in the range 2θ from 10° to 80°, most intense first:
- 2θ = 37.73°, d 2.384, intensity 1000, hkl 2 0 1
- 2θ = 23.66°, d 3.761, intensity 306, hkl 1 0 1
- 2θ = 33.84°, d 2.649, intensity 300, hkl 0 0 2
- 2θ = 33.57°, d 2.670, intensity 228, hkl 2 0 0
- 2θ = 63.12°, d 1.473, intensity 228, hkl 2 0 3
- 2θ = 70.71°, d 1.332, intensity 217, hkl 2 2 2
- 2θ = 60.02°, d 1.541, intensity 173, hkl 2 2 0
- 2θ = 48.40°, d 1.881, intensity 165, hkl 2 0 2

Structural model:
a = 6.1659 Å, b = 6.1659 Å, c = 5.2983 Å
α = 90.00°, β = 90.00°, γ = 120.00°
Space group P6_3/mmc (No. 194)
One atom of each set of equivalent atoms:
Sn (0.1716, 0.3432, 0.2500)
N (0.3333, 0.6667, 0.7500)

***

# SnN
Theoretical X-ray powder pattern, copper Kα. Input: the GGA-PBE geometry in the Materials Project.
No peak broadening, texture or thermal motion is included.

Principal peaks in the range 2θ from 10° to 80°, most intense first:
- 2θ = 30.49°, d 2.932, intensity 1000, hkl 1 1 -1
- 2θ = 31.48°, d 2.842, intensity 945, hkl 1 1 1
- 2θ = 32.28°, d 2.773, intensity 577, hkl 0 0 2
- 2θ = 32.03°, d 2.794, intensity 505, hkl 2 0 0
- 2θ = 42.62°, d 2.121, intensity 312, hkl 0 2 0
- 2θ = 54.46°, d 1.685, intensity 267, hkl 0 2 2
- 2θ = 57.66°, d 1.599, intensity 253, hkl 1 1 3
- 2θ = 55.85°, d 1.646, intensity 231, hkl 1 1 -3

Structural model:
a = 5.5982 Å, b = 4.2430 Å, c = 5.5552 Å
α = 90.00°, β = 93.32°, γ = 90.00°
Space group Cm (No. 8)
One atom of each set of equivalent atoms:
Sn (0.0000, 0.0000, 0.0000)
Sn (0.0705, 0.5000, 0.4923)
N (0.1199, 0.5000, 0.8867)
N (0.4452, 0.5000, 0.3946)

***

# Sn3N4
Theoretical X-ray powder pattern, copper Kα. Input: the GGA-PBE geometry in the Materials Project.
No peak broadening, texture or thermal motion is included.

Principal peaks in the range 2θ from 10° to 80°, most intense first:
- 2θ = 32.48°, d 2.757, intensity 1000, hkl 3 1 1
- 2θ = 56.98°, d 1.616, intensity 404, hkl 4 4 0
- 2θ = 51.97°, d 1.759, intensity 385, hkl 5 1 1
- 2θ = 27.60°, d 3.232, intensity 267, hkl 2 2 0
- 2θ = 33.97°, d 2.639, intensity 250, hkl 2 2 2
- 2θ = 67.14°, d 1.394, intensity 132, hkl 5 3 3
- 2θ = 68.02°, d 1.378, intensity 129, hkl 6 2 2
- 2θ = 48.80°, d 1.866, intensity 113, hkl 4 2 2

Structural model:
a = 9.1424 Å, b = 9.1424 Å, c = 9.1424 Å
α = 90.00°, β = 90.00°, γ = 90.00°
Space group Fd-3m (No. 227, origin choice 2)
One atom of each set of equivalent atoms:
Sn (0.0000, 0.0000, 0.0000)
Sn (0.1250, 0.1250, 0.6250)
N (0.0091, 0.0091, 0.2409)

***

# Sr2SnN2
Theoretical X-ray powder pattern, copper Kα. Input: the GGA-PBE geometry in the Materials Project.
No peak broadening, texture or thermal motion is included.

Principal peaks in the range 2θ from 10° to 80°, most intense first:
- 2θ = 30.26°, d 2.953, intensity 1000, hkl 1 0 3
- 2θ = 32.86°, d 2.726, intensity 590, hkl 1 1 0
- 2θ = 57.06°, d 1.614, intensity 351, hkl 2 1 3
- 2θ = 52.05°, d 1.757, intensity 295, hkl 1 1 6
- 2θ = 47.16°, d 1.927, intensity 209, hkl 2 0 0
- 2θ = 39.20°, d 2.298, intensity 171, hkl 0 0 6
- 2θ = 62.94°, d 1.477, intensity 165, hkl 2 0 6
- 2θ = 65.57°, d 1.424, intensity 114, hkl 1 0 9

Structural model:
a = 3.8547 Å, b = 3.8547 Å, c = 13.7884 Å
α = 90.00°, β = 90.00°, γ = 90.00°
Space group I4/mmm (No. 139)
One atom of each set of equivalent atoms:
Sr (0.0000, 0.0000, 0.1601)
Sn (0.0000, 0.0000, 0.5000)
N (0.0000, 0.0000, 0.3475)